The following is a simulated XRD peak list of Li2Zn2W2O9. It was derived from a DFT-relaxed cell (PBE+U, the Materials Project), using Cu Kα (λ = 1.5418 Å).

The 8 most intense peaks (10° ≤ 2θ ≤ 80°), sorted by position:
- (0 0 2), 12.3°, 7.211 Å, intensity 33
- (1 0 0), 19.6°, 4.524 Å, intensity 100
- (1 0 4), 31.7°, 2.820 Å, intensity 88
- (1 1 0), 34.3°, 2.612 Å, intensity 54
- (1 1 4), 42.7°, 2.115 Å, intensity 27
- (0 2 4), 47.4°, 1.916 Å, intensity 32
- (1 1 6), 51.7°, 1.769 Å, intensity 22
- (2 1 4), 59.9°, 1.545 Å, intensity 32

Cell lengths 5.224, 5.224, 14.422 Å; angles 90.00, 90.00, 120.00 degrees
Element x y z (fractional)
1 Li 0.333 0.667 0.019
2 Li 0.333 0.667 0.519
3 Li 0.667 0.333 0.481
4 Li 0.667 0.333 0.981
5 Zn 0.333 0.667 0.307
6 Zn 0.333 0.667 0.807
7 Zn 0.667 0.333 0.193
8 Zn 0.667 0.333 0.693
9 W 0.000 0.000 0.141
10 W 0.000 0.000 0.359
11 W 0.000 0.000 0.641
12 W 0.000 0.000 0.859
13 O 0.000 0.282 0.250
14 O 0.000 0.718 0.750
15 O 0.026 0.331 0.912
16 O 0.026 0.695 0.412
17 O 0.282 0.000 0.250
18 O 0.282 0.282 0.750
19 O 0.305 0.331 0.412
20 O 0.305 0.974 0.912
21 O 0.331 0.026 0.588
22 O 0.331 0.305 0.088
23 O 0.669 0.695 0.912
24 O 0.669 0.974 0.412
25 O 0.695 0.026 0.088
26 O 0.695 0.669 0.588
27 O 0.718 0.000 0.750
28 O 0.718 0.718 0.250
29 O 0.974 0.305 0.588
30 O 0.974 0.669 0.088